Record 1
The following is a theoretical powder X-ray diffraction pattern of NaPH4O5. It was derived from the GGA-PBE geometry in the Materials Project, using copper Kα.
Kinematic intensities with the Lorentz-polarization factor, no thermal factor.

Peak list (12 most intense, 2θ from 15° to 90°, low angle first)
| 2θ/deg | I_rel | (hkl) |
| --- | --- | --- |
| 16.25 | 100 | 0 1 1 |
| 20.00 | 39 | 1 1 1 |
| 23.55 | 44 | 0 0 2 |
| 25.44 | 33 | 1 2 0 |
| 25.90 | 36 | 2 1 0 |
| 26.12 | 84 | 2 0 1 |
| 28.09 | 83 | 1 2 1 |
| 28.69 | 68 | 1 1 2 |
| 33.34 | 43 | 2 0 2 |
| 34.79 | 26 | 2 2 1 |
| 34.94 | 32 | 1 2 2 |
| 53.76 | 27 | 4 0 2 |

Cell and atoms:
Cell lengths 7.6463, 7.8771, 7.5565 Å; angles 90.00, 90.00, 90.00 degrees
Space group Pna2_1 (No. 33)
Asymmetric unit:
Na 0.0041 0.0145 0.0000 (multiplicity 4)
P 0.1200 0.3787 0.2620 (multiplicity 4)
H 0.0518 0.3966 0.9803 (multiplicity 4)
H 0.1898 0.7283 0.2280 (multiplicity 4)
H 0.2156 0.6608 0.8578 (multiplicity 4)
H 0.2234 0.4051 0.7445 (multiplicity 4)
O 0.0480 0.5465 0.8435 (multiplicity 4)
O 0.0707 0.3029 0.0721 (multiplicity 4)
O 0.1623 0.2127 0.3729 (multiplicity 4)
O 0.1618 0.8509 0.2289 (multiplicity 4)
O 0.2270 0.9996 0.7519 (multiplicity 4)

Record 2
The following is a theoretical powder X-ray diffraction pattern of NdSmIn2. It was derived from the GGA-PBE geometry in the Materials Project, using copper Kα.
Kinematic intensities with the Lorentz-polarization factor, no thermal factor.

Peak list (8 most intense, 2θ from 15° to 90°, low angle first)
| 2θ/deg | I_rel | (hkl) |
| --- | --- | --- |
| 22.66 | 2 | 2 0 0 |
| 32.27 | 100 | 2 2 0 |
| 46.28 | 18 | 4 0 0 |
| 52.13 | 1 | 4 2 0 |
| 57.54 | 38 | 4 2 2 |
| 67.52 | 12 | 4 4 0 |
| 76.83 | 16 | 6 2 0 |
| 85.79 | 4 | 4 4 4 |

Cell and atoms:
Cell lengths 7.8471, 7.8471, 7.8471 Å; angles 90.00, 90.00, 90.00 degrees
Space group Fm-3m (No. 225)
Asymmetric unit:
Nd 0.0000 0.0000 0.0000 (multiplicity 4)
Sm 0.0000 0.0000 0.5000 (multiplicity 4)
In 0.2500 0.2500 0.2500 (multiplicity 8)

Record 3
The following is a theoretical powder X-ray diffraction pattern of KU2Cl2O9. It was derived from the GGA-PBE geometry in the Materials Project, using copper Kα.
Kinematic intensities with the Lorentz-polarization factor, no thermal factor.

Peak list (12 most intense, 2θ from 15° to 90°, low angle first)
| 2θ/deg | I_rel | (hkl) |
| --- | --- | --- |
| 16.67 | 100 | 1 -1 1 |
| 21.58 | 63 | 1 1 -1 |
| 22.12 | 42 | 1 -2 0 |
| 22.53 | 52 | 1 1 0 |
| 23.31 | 41 | 1 0 -3 |
| 24.24 | 81 | 0 1 -3 |
| 24.50 | 48 | 0 2 -1 |
| 24.95 | 82 | 2 -1 0 |
| 25.44 | 44 | -1 1 3 |
| 28.41 | 58 | 0 1 3 |
| 32.62 | 44 | 1 2 -1 |
| 32.91 | 44 | 1 1 -4 |

Cell and atoms:
Cell lengths 7.3602, 8.1118, 12.0326 Å; angles 93.40, 104.08, 115.41 degrees
Space group P-1 (No. 2)
Asymmetric unit:
K 0.0307 0.0235 0.2158 (multiplicity 2)
U 0.3000 0.6689 0.7505 (multiplicity 2)
U 0.3575 0.7815 0.0582 (multiplicity 2)
Cl 0.1191 0.3319 0.6219 (multiplicity 2)
Cl 0.4903 0.9720 0.3002 (multiplicity 2)
O 0.0562 0.6880 0.6987 (multiplicity 2)
O 0.1416 0.8486 0.0370 (multiplicity 2)
O 0.2291 0.5794 0.1285 (multiplicity 2)
O 0.2309 0.5652 0.8950 (multiplicity 2)
O 0.3813 0.6665 0.5075 (multiplicity 2)
O 0.3935 0.2363 0.9061 (multiplicity 2)
O 0.4234 0.9013 0.9043 (multiplicity 2)
O 0.4331 0.2532 0.4919 (multiplicity 2)
O 0.4420 0.3251 0.2243 (multiplicity 2)

Record 4
The following is a theoretical powder X-ray diffraction pattern of Tm4MnS7. It was derived from the GGA-PBE geometry in the Materials Project, using copper Kα.
Kinematic intensities with the Lorentz-polarization factor, no thermal factor.

Peak list (12 most intense, 2θ from 15° to 90°, low angle first)
| 2θ/deg | I_rel | (hkl) |
| --- | --- | --- |
| 24.59 | 100 | 2 0 2 |
| 25.06 | 94 | 2 0 -3 |
| 25.54 | 35 | 1 1 -1 |
| 26.73 | 31 | 1 1 1 |
| 28.68 | 43 | 1 1 -2 |
| 28.80 | 45 | 4 0 -1 |
| 32.27 | 49 | 3 1 -1 |
| 32.70 | 46 | 3 1 0 |
| 33.95 | 53 | 3 1 -2 |
| 35.12 | 58 | 3 1 1 |
| 42.96 | 44 | 1 1 4 |
| 48.43 | 57 | 0 2 0 |

Cell and atoms:
Cell lengths 12.4035, 3.7572, 11.3632 Å; angles 90.00, 104.69, 90.00 degrees
Space group Cm (No. 8)
Asymmetric unit:
Tm 0.0000 0.0000 0.0000 (multiplicity 2)
Tm 0.0791 0.5000 0.3645 (multiplicity 2)
Tm 0.1934 0.5000 0.8022 (multiplicity 2)
Tm 0.3874 0.0000 0.5998 (multiplicity 2)
Mn 0.3078 0.5000 0.2181 (multiplicity 2)
S 0.0338 0.0000 0.7458 (multiplicity 2)
S 0.1587 0.5000 0.0215 (multiplicity 2)
S 0.1992 0.0000 0.2948 (multiplicity 2)
S 0.2303 0.5000 0.5815 (multiplicity 2)
S 0.3543 0.0000 0.8478 (multiplicity 2)
S 0.4265 0.0000 0.1494 (multiplicity 2)
S 0.4496 0.5000 0.4383 (multiplicity 2)

Record 5
The following is a theoretical powder X-ray diffraction pattern of Ta7Co6. It was derived from the GGA-PBE geometry in the Materials Project, using copper Kα.
Kinematic intensities with the Lorentz-polarization factor, no thermal factor.

Peak list (12 most intense, 2θ from 15° to 90°, low angle first)
| 2θ/deg | I_rel | (hkl) |
| --- | --- | --- |
| 20.36 | 16 | 0 0 6 |
| 36.28 | 100 | 1 1 0 |
| 40.37 | 38 | 1 0 10 |
| 41.96 | 81 | 1 1 6 |
| 43.49 | 42 | 0 1 11 |
| 45.72 | 17 | 2 0 5 |
| 48.27 | 15 | 1 1 9 |
| 65.27 | 19 | 3 0 0 |
| 69.15 | 18 | 0 3 6 |
| 70.26 | 21 | 1 2 11 |
| 75.88 | 17 | 1 1 18 |
| 77.03 | 23 | 2 2 0 |

Cell and atoms:
Cell lengths 4.9522, 4.9522, 26.1749 Å; angles 90.00, 90.00, 120.00 degrees
Space group R-3m (No. 166, hexagonal axes)
Asymmetric unit:
Ta 0.0000 0.0000 0.0000 (multiplicity 3)
Ta 0.0000 0.0000 0.1668 (multiplicity 6)
Ta 0.0000 0.0000 0.3457 (multiplicity 6)
Ta 0.0000 0.0000 0.4509 (multiplicity 6)
Co 0.0078 0.5039 0.4109 (multiplicity 18)

Record 6
The following is a theoretical powder X-ray diffraction pattern of Zn4FeCu10Sn5Se20. It was derived from the GGA-PBE geometry in the Materials Project, using copper Kα.
Kinematic intensities with the Lorentz-polarization factor, no thermal factor.

Peak list (12 most intense, 2θ from 15° to 90°, low angle first)
| 2θ/deg | I_rel | (hkl) |
| --- | --- | --- |
| 26.78 | 100 | 5 1 0 |
| 44.29 | 12 | 2 0 -8 |
| 44.48 | 61 | 6 2 -4 |
| 52.54 | 15 | 7 1 -8 |
| 52.66 | 14 | 11 1 -4 |
| 52.77 | 15 | 1 3 -4 |
| 64.57 | 8 | 12 0 -8 |
| 64.87 | 4 | 0 4 0 |
| 71.30 | 6 | 7 3 -8 |
| 71.39 | 8 | 11 3 -4 |
| 81.65 | 8 | 8 2 -12 |
| 81.92 | 11 | 16 2 -4 |

Cell and atoms:
Cell lengths 20.7742, 5.7492, 16.3614 Å; angles 90.00, 101.31, 90.00 degrees
Space group C2 (No. 5)
Asymmetric unit:
Zn 0.1000 0.0000 0.4000 (multiplicity 4)
Zn 0.2000 0.4997 0.7999 (multiplicity 4)
Fe 0.0000 0.4996 0.0000 (multiplicity 2)
Cu 0.9999 0.4999 0.2500 (multiplicity 4)
Cu 0.0999 0.0003 0.1499 (multiplicity 4)
Cu 0.1000 0.0002 0.6500 (multiplicity 4)
Cu 0.2000 0.5002 0.5500 (multiplicity 4)
Cu 0.2000 0.5005 0.0500 (multiplicity 4)
Sn 0.0000 0.5009 0.5000 (multiplicity 2)
Sn 0.1000 0.9999 0.9000 (multiplicity 4)
Sn 0.2000 0.5000 0.3000 (multiplicity 4)
Se 0.0021 0.2405 0.6326 (multiplicity 4)
Se 0.0059 0.2661 0.1262 (multiplicity 4)
Se 0.0941 0.7599 0.2710 (multiplicity 4)
Se 0.0981 0.7397 0.7671 (multiplicity 4)
Se 0.0997 0.7345 0.0321 (multiplicity 4)
Se 0.1058 0.7596 0.5289 (multiplicity 4)
Se 0.1942 0.2595 0.6710 (multiplicity 4)
Se 0.1979 0.2406 0.1674 (multiplicity 4)
Se 0.2021 0.2411 0.4324 (multiplicity 4)
Se 0.2062 0.2611 0.9290 (multiplicity 4)

Record 7
The following is a theoretical powder X-ray diffraction pattern of SmAu. It was derived from the GGA-PBE geometry in the Materials Project, using copper Kα.
Kinematic intensities with the Lorentz-polarization factor, no thermal factor.

Peak list (12 most intense, 2θ from 15° to 90°, low angle first)
| 2θ/deg | I_rel | (hkl) |
| --- | --- | --- |
| 30.85 | 100 | 1 1 1 |
| 32.00 | 32 | 0 4 0 |
| 37.36 | 27 | 0 4 1 |
| 38.08 | 36 | 0 0 2 |
| 38.50 | 88 | 1 3 1 |
| 46.78 | 26 | 2 0 0 |
| 50.56 | 18 | 0 4 2 |
| 61.84 | 23 | 2 0 2 |
| 64.34 | 14 | 1 1 3 |
| 69.09 | 16 | 1 3 3 |
| 71.32 | 13 | 2 4 2 |
| 75.93 | 14 | 1 7 2 |

Cell and atoms:
Cell lengths 3.8854, 11.1881, 4.7262 Å; angles 90.00, 90.00, 90.00 degrees
Space group Cmcm (No. 63)
Asymmetric unit:
Sm 0.0000 0.1378 0.2500 (multiplicity 4)
Au 0.0000 0.4121 0.2500 (multiplicity 4)